Starting from a DFT-relaxed cell (PBE, OQMD), the X-ray powder pattern of CdAgSO was calculated for λ = 1.5418 Å (Cu Kα).
Intensities are scaled so that the largest is 1000.

The 10 most intense peaks (2θ from 10° to 90°), low angle first:
2θ (°)  I (rel.)  index
24.4  582  1 2 0
25.5  451  2 0 0
30.4  1000  1 2 1
31.3  357  2 0 1
36.0  548  0 0 2
42.3  246  0 4 0
44.0  225  1 2 2
44.3  523  3 2 0
56.7  194  0 4 2
58.4  376  3 2 2

Structural model:
Unit cell a=6.9853 b=8.5476 c=4.9871 alpha=90.00 beta=90.00 gamma=90.00
Space group Pca2_1 (No. 29)
Unique sites:
Cd 0.0966 0.1019 0.0000
Ag 0.0496 0.6498 0.9991
S 0.0777 0.6302 0.4990
O 0.0871 0.1081 0.4976